For Li23Ga6Ni, DFT lattice parameters and positions (PBE) gives the simulated powder diffractogram in this record (Cu Kα (weighted mean of Kα1 and Kα2)).
Lines closer than 0.1° are merged.

Peak list (10 most intense, 2θ = 15–90°, sorted by position)
h k l  two_theta  d (Å)  Rel. int.
2 2 2  24.38  3.650  74.9
4 0 0  28.23  3.161  72.3
4 2 0  31.64  2.828  41.9
4 4 0  40.35  2.235  100.0
4 4 2  42.91  2.108  23.3
6 2 2  47.71  1.906  36.6
4 4 4  49.97  1.825  19.4
8 0 0  58.38  1.581  16.3
8 4 0  66.09  1.414  24.4
8 4 4  73.36  1.291  31.7

Cell and atoms:
```
data_Li23Ga6Ni
_chemical_formula_sum 'Li92 Ga24 Ni4'
_symmetry_space_group_name_H-M 'F m -3 m'
_symmetry_Int_Tables_number 225
_symmetry_space_group_name_Hall '-F 4 2 3'
_cell_length_a 12.645
_cell_length_b 12.645
_cell_length_c 12.645
_cell_angle_alpha 90.00
_cell_angle_beta 90.00
_cell_angle_gamma 90.00
loop_
_atom_site_label
_atom_site_type_symbol
_atom_site_fract_x
_atom_site_fract_y
_atom_site_fract_z
Li1 Li 0.000 0.000 0.000
Li2 Li 0.000 0.250 0.250
Li3 Li 0.117 0.117 0.383
Li4 Li 0.126 0.126 0.126
Ga1 Ga 0.000 0.000 0.251
Ni1 Ni 0.000 0.000 0.500
```